Calculated powder X-ray diffraction pattern of Ta3Ru2W2 for Cu Ka, from a PBE-relaxed structure.
Peak positions follow from Bragg's law for the DFT cell and can differ from measured ones.

Lattice parameters (Å, degrees): 4.528 4.535 6.940 71.12 71.00 60.08
Positions (direct):
1 Ta 0.000 0.000 0.000
2 Ta 0.429 0.429 0.712
3 Ta 0.571 0.571 0.288
4 Ru 0.140 0.137 0.586
5 Ru 0.860 0.863 0.414
6 W 0.284 0.285 0.147
7 W 0.716 0.715 0.853

The 8 most intense peaks (10° ≤ 2θ ≤ 90°), low angle first:
| 2θ (°) | I (rel.) |
| --- | --- |
| 39.8 | 100 |
| 39.9 | 65 |
| 40.0 | 32 |
| 57.6 | 34 |
| 72.2 | 17 |
| 72.3 | 12 |
| 72.4 | 17 |
| 72.7 | 11 |

Calculated powder X-ray diffraction pattern of DyEr4Se7 for Cu Ka, from a PBE-relaxed structure.
Peak positions follow from Bragg's law for the DFT cell and can differ from measured ones.

Lattice parameters (Å, degrees): 6.934 6.934 12.130 103.68 103.68 33.00
Positions (direct):
1 Dy 0.000 0.000 0.000
2 Er 0.113 0.113 0.422
3 Er 0.226 0.226 0.844
4 Er 0.413 0.413 0.608
5 Er 0.814 0.814 0.236
6 Se 0.073 0.073 0.637
7 Se 0.154 0.154 0.208
8 Se 0.369 0.369 0.070
9 Se 0.454 0.454 0.372
10 Se 0.614 0.614 0.921
11 Se 0.773 0.773 0.472
12 Se 0.854 0.854 0.773

The 8 most intense peaks (10° ≤ 2θ ≤ 90°), low angle first:
| 2θ (°) | I (rel.) |
| --- | --- |
| 22.9 | 97 |
| 23.5 | 75 |
| 30.5 | 79 |
| 32.0 | 100 |
| 33.0 | 79 |
| 37.4 | 52 |
| 40.3 | 55 |
| 46.1 | 60 |